[1]
PrNdSmHo: simulated PXRD pattern (Cu Kα X-rays), based on a DFT-relaxed cell (PBE, Alexandria).
Peak positions follow from Bragg's law for the DFT cell and can differ from measured ones.

Largest 10 diffraction maxima, low angle first, 2θ = 10–90°:
3.054 Å, rel. 40, (1 0 1); 2.944 Å, rel. 34, (0 0 4); 2.786 Å, rel. 100, (1 0 2); 2.463 Å, rel. 22, (0 1 3); 1.826 Å, rel. 25, (1 1 0); 1.668 Å, rel. 22, (1 0 6); 1.552 Å, rel. 30, (1 1 4); 1.527 Å, rel. 16, (0 2 2); 1.171 Å, rel. 14, (2 1 2); 1.146 Å, rel. 11, (1 1 8)

Cell and atoms:
```
data_PrNdSmHo
_cell_length_a 3.6514
_cell_length_b 3.6514
_cell_length_c 11.7764
_cell_angle_alpha 90.00
_cell_angle_beta 90.00
_cell_angle_gamma 120.00
_symmetry_space_group_name_H-M 'P 3 m 1'
_symmetry_Int_Tables_number 156
loop_
_symmetry_equiv_pos_as_xyz
'x,y,z'
'-y,x-y,z'
'-x+y,-x,z'
'-y,-x,z'
'-x+y,y,z'
'x,x-y,z'
loop_
_atom_site_label
_atom_site_type_symbol
_atom_site_fract_x
_atom_site_fract_y
_atom_site_fract_z
_atom_site_occupancy
Pr1 Pr 0.0000 0.0000 0.0000 1
Nd1 Nd 0.6667 0.3333 0.7432 1
Sm1 Sm 0.3333 0.6667 0.4926 1
Ho1 Ho 0.6667 0.3333 0.2490 1
```



[2]
InGaBi: simulated PXRD pattern (Cu Kα X-rays), based on a DFT-relaxed cell (PBE, Alexandria).
Peak positions follow from Bragg's law for the DFT cell and can differ from measured ones.

Largest 10 diffraction maxima, low angle first, 2θ = 10–90°:
3.364 Å, rel. 35, (1 1 0); 3.041 Å, rel. 56, (1 0 -2); 2.960 Å, rel. 100, (1 1 1); 2.871 Å, rel. 33, (0 1 2); 2.375 Å, rel. 34, (0 2 0); 2.190 Å, rel. 14, (2 0 1); 2.143 Å, rel. 30, (0 1 3); 2.100 Å, rel. 38, (2 1 -1); 1.872 Å, rel. 28, (1 2 -2); 1.341 Å, rel. 18, (3 1 2)

Cell and atoms:
```
data_InGaBi
_cell_length_a 4.794
_cell_length_b 4.750
_cell_length_c 7.251
_cell_angle_alpha 90.00
_cell_angle_beta 96.39
_cell_angle_gamma 90.00
_symmetry_space_group_name_H-M 'P 1 21/m 1'
_symmetry_Int_Tables_number 11
loop_
_symmetry_equiv_pos_as_xyz
'x,y,z'
'-x,-y,-z'
'-x,y+1/2,-z'
'x,-y+1/2,z'
loop_
_atom_site_label
_atom_site_type_symbol
_atom_site_fract_x
_atom_site_fract_y
_atom_site_fract_z
_atom_site_occupancy
In1 In 0.036 0.250 0.321 1
Ga1 Ga 0.407 0.750 0.419 1
Bi1 Bi 0.302 0.250 0.911 1
```



[3]
LiZn6Ag2: simulated PXRD pattern (Cu Kα X-rays), based on a DFT-relaxed cell (PBE, Alexandria).
Peak positions follow from Bragg's law for the DFT cell and can differ from measured ones.

Largest 10 diffraction maxima, low angle first, 2θ = 10–90°:
4.889 Å, rel. 10, (1 0 0); 2.595 Å, rel. 14, (0 0 2); 2.480 Å, rel. 19, (1 1 1); 2.445 Å, rel. 28, (2 0 0); 2.292 Å, rel. 40, (1 0 2); 2.211 Å, rel. 100, (0 2 1); 1.505 Å, rel. 12, (1 2 2); 1.475 Å, rel. 13, (1 1 3); 1.411 Å, rel. 19, (2 2 0); 1.190 Å, rel. 11, (4 0 1)

Cell and atoms:
```
data_LiZn6Ag2
_cell_length_a 5.6454
_cell_length_b 5.6454
_cell_length_c 5.1897
_cell_angle_alpha 90.00
_cell_angle_beta 90.00
_cell_angle_gamma 120.00
_symmetry_space_group_name_H-M 'P -3 m 1'
_symmetry_Int_Tables_number 164
_symmetry_space_group_name_Hall '-P 3 2"'
loop_
_atom_site_label
_atom_site_type_symbol
_atom_site_fract_x
_atom_site_fract_y
_atom_site_fract_z
_atom_site_occupancy
Li1 Li 0.0000 0.0000 0.0000 1
Zn1 Zn 0.1809 0.3618 0.3224 1
Ag1 Ag 0.3333 0.6667 0.8376 1
```



[4]
La2ZnHAu: simulated PXRD pattern (Cu Kα X-rays), based on a DFT-relaxed cell (PBE, Alexandria).
Peak positions follow from Bragg's law for the DFT cell and can differ from measured ones.

Largest 10 diffraction maxima, low angle first, 2θ = 10–90°:
5.175 Å, rel. 13, (1 0 0); 3.212 Å, rel. 8, (1 0 1); 2.729 Å, rel. 100, (1 1 1); 2.587 Å, rel. 44, (2 0 0); 2.049 Å, rel. 11, (0 0 2); 1.830 Å, rel. 16, (2 2 0); 1.606 Å, rel. 20, (2 0 2); 1.520 Å, rel. 34, (3 1 1); 1.365 Å, rel. 12, (2 2 2); 1.280 Å, rel. 9, (1 1 3)

Cell and atoms:
```
data_La2ZnHAu
_cell_length_a 5.175
_cell_length_b 5.175
_cell_length_c 4.098
_cell_angle_alpha 90.00
_cell_angle_beta 90.00
_cell_angle_gamma 90.00
_symmetry_space_group_name_H-M 'P 4/m m m'
_symmetry_Int_Tables_number 123
_symmetry_space_group_name_Hall '-P 4 2'
loop_
_atom_site_label
_atom_site_type_symbol
_atom_site_fract_x
_atom_site_fract_y
_atom_site_fract_z
_atom_site_occupancy
La1 La 0.000 0.500 0.000 1
Zn1 Zn 0.000 0.000 0.500 1
H1 H 0.500 0.500 0.000 1
Au1 Au 0.500 0.500 0.500 1
```



[5]
Sm4Y7Tm: simulated PXRD pattern (Cu Kα X-rays), based on a DFT-relaxed cell (PBE, Alexandria).
Peak positions follow from Bragg's law for the DFT cell and can differ from measured ones.

Largest 10 diffraction maxima, low angle first, 2θ = 10–90°:
2.962 Å, rel. 36, (0 0 3); 2.893 Å, rel. 39, (2 0 2); 2.840 Å, rel. 100, (1 -2 0); 2.798 Å, rel. 52, (2 0 -1); 2.778 Å, rel. 34, (1 2 2); 2.758 Å, rel. 17, (0 1 3); 2.112 Å, rel. 11, (1 -2 3); 1.991 Å, rel. 12, (-1 2 3); 1.952 Å, rel. 13, (3 2 1); 1.623 Å, rel. 21, (-3 2 1)

Cell and atoms:
```
data_Sm4Y7Tm
_cell_length_a 6.555
_cell_length_b 6.841
_cell_length_c 9.128
_cell_angle_alpha 85.64
_cell_angle_beta 77.01
_cell_angle_gamma 81.90
_symmetry_space_group_name_H-M 'P -1'
_symmetry_Int_Tables_number 2
loop_
_symmetry_equiv_pos_as_xyz
'x,y,z'
'-x,-y,-z'
loop_
_atom_site_label
_atom_site_type_symbol
_atom_site_fract_x
_atom_site_fract_y
_atom_site_fract_z
_atom_site_occupancy
Sm1 Sm 0.143 0.314 0.282 1
Sm2 Sm 0.338 0.880 0.695 1
Y1 Y 0.010 0.253 0.951 1
Y2 Y 0.180 0.807 0.361 1
Y3 Y 0.312 0.392 0.617 1
Y4 Y 0.500 0.000 0.000 1
Tm1 Tm 0.500 0.500 0.000 1
```



[6]
LaTlAsSe2: simulated PXRD pattern (Cu Kα X-rays), based on a DFT-relaxed cell (PBE, Alexandria).
Peak positions follow from Bragg's law for the DFT cell and can differ from measured ones.

Largest 10 diffraction maxima, low angle first, 2θ = 10–90°:
4.126 Å, rel. 98, (1 0 1); 4.095 Å, rel. 46, (1 1 0); 3.360 Å, rel. 81, (1 1 1); 2.939 Å, rel. 52, (0 0 2); 2.896 Å, rel. 100, (2 0 0); 2.370 Å, rel. 47, (2 1 1); 2.063 Å, rel. 76, (2 0 2); 2.048 Å, rel. 37, (2 2 0); 1.680 Å, rel. 40, (2 2 2); 1.185 Å, rel. 25, (4 2 2)

Cell and atoms:
```
data_LaTlAsSe2
_cell_length_a 5.792
_cell_length_b 5.792
_cell_length_c 5.879
_cell_angle_alpha 90.00
_cell_angle_beta 90.00
_cell_angle_gamma 90.00
_symmetry_space_group_name_H-M 'P 4/m m m'
_symmetry_Int_Tables_number 123
_symmetry_space_group_name_Hall '-P 4 2'
loop_
_atom_site_label
_atom_site_type_symbol
_atom_site_fract_x
_atom_site_fract_y
_atom_site_fract_z
_atom_site_occupancy
La1 La 0.000 0.000 0.000 1
Tl1 Tl 0.500 0.500 0.500 1
As1 As 0.000 0.000 0.500 1
Se1 Se 0.000 0.500 0.000 1
```



[7]
RbP2IrC: simulated PXRD pattern (Cu Kα X-rays), based on a DFT-relaxed cell (PBE, Alexandria).
Peak positions follow from Bragg's law for the DFT cell and can differ from measured ones.

Largest 10 diffraction maxima, low angle first, 2θ = 10–90°:
4.978 Å, rel. 15, (1 0 0); 3.520 Å, rel. 44, (1 1 0); 3.233 Å, rel. 100, (1 0 1); 2.711 Å, rel. 27, (1 1 1); 2.489 Å, rel. 43, (2 0 0); 1.972 Å, rel. 51, (2 1 1); 1.819 Å, rel. 14, (1 1 2); 1.760 Å, rel. 15, (2 2 0); 1.616 Å, rel. 22, (2 0 2); 1.313 Å, rel. 17, (3 2 1)

Cell and atoms:
```
data_RbP2IrC
_cell_length_a 4.978
_cell_length_b 4.978
_cell_length_c 4.251
_cell_angle_alpha 90.00
_cell_angle_beta 90.00
_cell_angle_gamma 90.00
_symmetry_space_group_name_H-M 'P 4/m m m'
_symmetry_Int_Tables_number 123
_symmetry_space_group_name_Hall '-P 4 2'
loop_
_atom_site_label
_atom_site_type_symbol
_atom_site_fract_x
_atom_site_fract_y
_atom_site_fract_z
_atom_site_occupancy
Rb1 Rb 0.000 0.000 0.000 1
P1 P 0.000 0.500 0.000 1
Ir1 Ir 0.500 0.500 0.500 1
C1 C 0.000 0.000 0.500 1
```